1.
The following is a simulated PXRD pattern of Tb3CdAg. It was derived from a DFT-relaxed cell (PBE, Alexandria), using Cu Kα (weighted mean of Kα1 and Kα2).
Intensities are scaled so that the largest is 100.

Most intense lines, 2θ = 15–90°, low angle first:
| d_spacing | intensity | h k l |
| --- | --- | --- |
| 3.628 | 4 | 1 1 1 |
| 2.698 | 100 | 1 5 1 |
| 2.609 | 50 | 2 0 0 |
| 1.977 | 8 | 0 10 0 |
| 1.845 | 18 | 2 0 2 |
| 1.576 | 15 | 2 10 0 |
| 1.523 | 34 | 3 5 1 |
| 1.349 | 9 | 2 10 2 |
| 1.305 | 6 | 4 0 0 |
| 1.241 | 4 | 1 15 1 |
| 1.175 | 7 | 3 5 3 |
| 1.167 | 8 | 4 0 2 |

```
data_Tb3CdAg
_chemical_formula_sum 'Tb12 Cd4 Ag4'
_symmetry_space_group_name_H-M 'C m c m'
_symmetry_Int_Tables_number 63
_symmetry_space_group_name_Hall '-C 2c 2'
_cell_length_a 5.220
_cell_length_b 19.767
_cell_length_c 5.217
_cell_angle_alpha 90.00
_cell_angle_beta 90.00
_cell_angle_gamma 90.00
loop_
_atom_site_label
_atom_site_fract_x
_atom_site_fract_y
_atom_site_fract_z
_atom_site_occupancy
Tb1 0.000 0.061 0.250 1
Tb2 0.000 0.249 0.250 1
Tb3 0.000 0.436 0.250 1
Cd1 0.000 0.155 0.750 1
Ag1 0.000 0.341 0.750 1
```

2.
The following is a simulated PXRD pattern of Pm5Sm2Tm6. It was derived from a DFT-relaxed cell (PBE, Alexandria), using Cu Kα (weighted mean of Kα1 and Kα2).
Intensities are scaled so that the largest is 100.

Most intense lines, 2θ = 15–90°, low angle first:
| d_spacing | intensity | h k l |
| --- | --- | --- |
| 2.881 | 67 | 4 1 0 |
| 2.841 | 50 | 1 4 1 |
| 2.829 | 66 | 1 7 0 |
| 2.813 | 20 | 3 5 0 |
| 2.782 | 100 | 2 3 1 |
| 2.617 | 41 | 2 4 1 |
| 2.558 | 26 | 3 6 0 |
| 2.454 | 34 | 3 3 1 |
| 1.789 | 24 | 0 0 2 |
| 1.617 | 17 | 6 4 1 |
| 1.520 | 20 | 4 1 2 |
| 1.512 | 20 | 1 7 2 |

```
data_Pm5Sm2Tm6
_chemical_formula_sum 'Pm10 Sm4 Tm12'
_symmetry_space_group_name_H-M 'P b a m'
_symmetry_Int_Tables_number 55
_symmetry_space_group_name_Hall '-P 2 2ab'
_cell_length_a 11.642
_cell_length_b 20.415
_cell_length_c 3.579
_cell_angle_alpha 90.00
_cell_angle_beta 90.00
_cell_angle_gamma 90.00
loop_
_atom_site_label
_atom_site_fract_x
_atom_site_fract_y
_atom_site_fract_z
_atom_site_occupancy
Pm1 0.000 0.000 0.000 1
Pm2 0.085 0.275 0.000 1
Pm3 0.200 0.549 0.000 1
Sm1 0.172 0.713 0.500 1
Tm1 0.060 0.420 0.500 1
Tm2 0.078 0.132 0.500 1
Tm3 0.178 0.867 0.000 1
```